No. 1
Starting from the GGA+U geometry in Alexandria, the X-ray diffraction stick pattern of TlCoAg2F6 was calculated for Cu Kα (weighted mean of Kα1 and Kα2).
Kinematic intensities with the Lorentz-polarization factor, no thermal factor.

Structural model:
Lattice parameters (Å, degrees): 6.2025 6.2025 14.1859 90.00 90.00 120.00
Space group R-3 (No. 148, hexagonal axes)
Unique sites:
Tl (0.0000, 0.0000, 0.0000) x3
Co (0.0000, 0.0000, 0.5000) x3
Ag (0.0000, 0.0000, 0.2622) x6
F (0.0049, 0.7556, 0.4235) x18

Most intense lines, 10° ≤ 2θ ≤ 80°, sorted by position:
| h k l | d/Å | I/Imax |
| --- | --- | --- |
| 0 0 3 | 4.729 | 13 |
| 1 1 0 | 3.101 | 100 |
| 1 0 4 | 2.960 | 95 |
| 1 1 3 | 2.593 | 27 |
| 0 2 4 | 2.141 | 41 |
| 3 0 0 | 1.790 | 27 |
| 3 -1 4 | 1.762 | 47 |
| 0 1 8 | 1.684 | 14 |
| 2 2 0 | 1.551 | 13 |
| 2 0 8 | 1.480 | 13 |
| 4 -3 4 | 1.374 | 18 |
| 1 2 8 | 1.336 | 17 |


No. 2
Starting from the GGA+U geometry in Alexandria, the X-ray diffraction stick pattern of ZnCoAg2F6 was calculated for Cu Kα (weighted mean of Kα1 and Kα2).
Kinematic intensities with the Lorentz-polarization factor, no thermal factor.

Structural model:
Lattice parameters (Å, degrees): 5.7045 5.7017 9.8791 90.00 125.19 90.00
Space group P2_1/c (No. 14)
Unique sites:
Zn (0.0000, 0.0000, 0.0000) x2
Co (0.5000, 0.0000, 0.5000) x2
Ag (0.2572, 0.0318, 0.7508) x4
F (0.1779, 0.0171, 0.2515) x4
F (0.2473, 0.7077, 0.0389) x4
F (0.3275, 0.2098, 0.0357) x4

Most intense lines, 10° ≤ 2θ ≤ 80°, sorted by position:
| h k l | d/Å | I/Imax |
| --- | --- | --- |
| 0 0 2 | 4.034 | 4 |
| 1 1 0 | 3.608 | 2 |
| 1 1 1 | 2.853 | 100 |
| 1 0 -4 | 2.433 | 2 |
| 2 0 0 | 2.329 | 11 |
| 0 0 4 | 2.017 | 33 |
| 0 2 3 | 1.957 | 3 |
| 1 3 -2 | 1.760 | 4 |
| 3 1 -5 | 1.647 | 41 |
| 2 2 2 | 1.426 | 16 |
| 1 1 -7 | 1.276 | 10 |
| 3 3 -5 | 1.275 | 4 |


Please write out number 2 again, unchanged.
Starting from the GGA+U geometry in Alexandria, the X-ray diffraction stick pattern of ZnCoAg2F6 was calculated for Cu Kα (weighted mean of Kα1 and Kα2).
Kinematic intensities with the Lorentz-polarization factor, no thermal factor.

Structural model:
Lattice parameters (Å, degrees): 5.7045 5.7017 9.8791 90.00 125.19 90.00
Space group P2_1/c (No. 14)
Unique sites:
Zn (0.0000, 0.0000, 0.0000) x2
Co (0.5000, 0.0000, 0.5000) x2
Ag (0.2572, 0.0318, 0.7508) x4
F (0.1779, 0.0171, 0.2515) x4
F (0.2473, 0.7077, 0.0389) x4
F (0.3275, 0.2098, 0.0357) x4

Most intense lines, 10° ≤ 2θ ≤ 80°, sorted by position:
| h k l | d/Å | I/Imax |
| --- | --- | --- |
| 0 0 2 | 4.034 | 4 |
| 1 1 0 | 3.608 | 2 |
| 1 1 1 | 2.853 | 100 |
| 1 0 -4 | 2.433 | 2 |
| 2 0 0 | 2.329 | 11 |
| 0 0 4 | 2.017 | 33 |
| 0 2 3 | 1.957 | 3 |
| 1 3 -2 | 1.760 | 4 |
| 3 1 -5 | 1.647 | 41 |
| 2 2 2 | 1.426 | 16 |
| 1 1 -7 | 1.276 | 10 |
| 3 3 -5 | 1.275 | 4 |